PmPrTmRu: theoretical X-ray powder pattern (copper Kα), based on a structure optimized by DFT (GGA-PBE).
Neutral-atom scattering factors, no anomalous dispersion.

Main lines, low angle first (2θ = 15–90°):
d/Å  two_theta  I/Imax  hkl
4.299  20.66  3  1 1 1
2.632  34.06  100  2 2 0
1.861  48.93  18  4 0 0
1.520  60.96  37  4 2 2
1.316  71.71  11  4 4 0
1.177  81.82  16  6 2 0

Structure:
```
data_PmPrTmRu
_chemical_formula_sum 'Pm4 Pr4 Tm4 Ru4'
_cell_length_a 7.4453
_cell_length_b 7.4453
_cell_length_c 7.4453
_cell_angle_alpha 90.00
_cell_angle_beta 90.00
_cell_angle_gamma 90.00
_space_group_name_H-M_alt 'F -4 3 m'
_space_group_IT_number 216
_space_group_name_Hall 'F -4 2 3'
loop_
_atom_site_label
_atom_site_type_symbol
_atom_site_fract_x
_atom_site_fract_y
_atom_site_fract_z
Pm1 Pm 0.0000 0.0000 0.0000
Pr1 Pr 0.0000 0.0000 0.5000
Tm1 Tm 0.2500 0.2500 0.7500
Ru1 Ru 0.2500 0.2500 0.2500
```

***

Pm2PrS: theoretical X-ray powder pattern (copper Kα), based on a structure optimized by DFT (GGA-PBE).
Neutral-atom scattering factors, no anomalous dispersion.

Main lines, low angle first (2θ = 15–90°):
d/Å  two_theta  I/Imax  hkl
3.324  26.82  26  1 0 1
3.185  28.02  39  0 0 9
3.032  29.46  71  1 0 4
2.890  30.94  100  0 1 5
1.932  47.04  41  1 1 0
1.652  55.64  36  1 1 9

Structure:
```
data_Pm2PrS
_chemical_formula_sum 'Pm6 Pr3 S3'
_cell_length_a 3.8639
_cell_length_b 3.8639
_cell_length_c 28.6623
_cell_angle_alpha 90.00
_cell_angle_beta 90.00
_cell_angle_gamma 120.00
_space_group_name_H-M_alt 'R 3 m'
_space_group_IT_number 160
_space_group_name_Hall 'R 3 -2"'
loop_
_atom_site_label
_atom_site_type_symbol
_atom_site_fract_x
_atom_site_fract_y
_atom_site_fract_z
Pm1 Pm 0.0000 0.0000 0.0000
Pm2 Pm 0.0000 0.0000 0.2137
Pr1 Pr 0.0000 0.0000 0.4402
S1 S 0.0000 0.0000 0.6071
```